Entry 1:
This entry pairs a crystal structure of CaTc3P3 with its simulated powder X-ray diffraction pattern. Radiation: Cu Ka. Structure: the GGA-PBE geometry in Alexandria.
Kinematic intensities with the Lorentz-polarization factor, no thermal factor.

Atomic structure:
```
data_CaTc3P3
_cell_length_a 8.1976
_cell_length_b 8.1976
_cell_length_c 4.3545
_cell_angle_alpha 90.00
_cell_angle_beta 90.00
_cell_angle_gamma 120.00
_symmetry_space_group_name_H-M 'P 63/m'
_symmetry_Int_Tables_number 176
_symmetry_space_group_name_Hall '-P 6c'
loop_
_atom_site_label
_atom_site_fract_x
_atom_site_fract_y
_atom_site_fract_z
Ca1 0.3333 0.6667 0.2500
Tc1 0.0570 0.2150 0.2500
P1 0.0935 0.3813 0.7500
```

The 6 most intense peaks (2θ from 5° to 70°), by intensity:
Position (°2θ), I/Imax, h k l
12.47, 100, 1 0 0
39.45, 49, 2 1 1
43.51, 26, 3 0 1
33.39, 17, 2 1 0
50.90, 16, 3 1 1
41.47, 15, 0 0 2



Entry 2:
This entry pairs a crystal structure of Ce2Si3B with its simulated powder X-ray diffraction pattern. Radiation: Cu Ka. Structure: the GGA-PBE geometry in Alexandria.
Kinematic intensities with the Lorentz-polarization factor, no thermal factor.

Atomic structure:
```
data_Ce2Si3B
_cell_length_a 3.7599
_cell_length_b 4.2808
_cell_length_c 6.6525
_cell_angle_alpha 90.00
_cell_angle_beta 90.00
_cell_angle_gamma 90.00
_symmetry_space_group_name_H-M 'P m m 2'
_symmetry_Int_Tables_number 25
_symmetry_space_group_name_Hall 'P 2 -2'
loop_
_atom_site_label
_atom_site_fract_x
_atom_site_fract_y
_atom_site_fract_z
Ce1 0.0000 0.0000 0.0000
Ce2 0.5000 0.0000 0.4901
Si1 0.0000 0.5000 0.3045
Si2 0.0000 0.5000 0.6589
Si3 0.5000 0.5000 0.8620
B1 0.5000 0.5000 0.1692
```

The 6 most intense peaks (2θ from 5° to 70°), by intensity:
Position (°2θ), I/Imax, h k l
34.49, 100, 1 1 1
34.14, 49, 0 1 2
27.24, 46, 1 0 1
20.75, 26, 0 1 0
26.80, 25, 0 0 2
47.61, 24, 1 0 3



Entry 3:
This entry pairs a crystal structure of Cs4K3Pd with its simulated powder X-ray diffraction pattern. Radiation: Cu Ka. Structure: the GGA-PBE geometry in Alexandria.
Kinematic intensities with the Lorentz-polarization factor, no thermal factor.

Atomic structure:
```
data_Cs4K3Pd
_cell_length_a 11.0142
_cell_length_b 13.3309
_cell_length_c 9.3751
_cell_angle_alpha 90.00
_cell_angle_beta 90.00
_cell_angle_gamma 90.00
_symmetry_space_group_name_H-M 'P m m n'
_symmetry_Int_Tables_number 59
loop_
_symmetry_equiv_pos_as_xyz
'x,y,z'
'-x,-y,-z'
'-x+1/2,-y+1/2,z'
'x+1/2,y+1/2,-z'
'x+1/2,-y,-z'
'-x+1/2,y,z'
'-x,y+1/2,-z'
'x,-y+1/2,z'
loop_
_atom_site_label
_atom_site_fract_x
_atom_site_fract_y
_atom_site_fract_z
Cs1 0.0469 0.2500 0.2167
Cs2 0.2500 0.5759 0.4635
K1 0.2500 0.2500 0.7300
K2 0.2500 0.5630 0.9616
Pd1 0.2500 0.7500 0.7309
```

The 6 most intense peaks (2θ from 5° to 70°), by intensity:
Position (°2θ), I/Imax, h k l
11.54, 100, 0 1 1
23.20, 74, 0 2 2
29.36, 47, 3 2 1
21.59, 43, 1 3 0
37.11, 39, 3 3 2
22.14, 33, 0 3 1



Entry 4:
This entry pairs a crystal structure of Tl5SbAu2 with its simulated powder X-ray diffraction pattern. Radiation: Cu Ka. Structure: the GGA-PBE geometry in Alexandria.
Kinematic intensities with the Lorentz-polarization factor, no thermal factor.

Atomic structure:
```
data_Tl5SbAu2
_cell_length_a 4.1229
_cell_length_b 13.0803
_cell_length_c 17.0511
_cell_angle_alpha 90.00
_cell_angle_beta 90.00
_cell_angle_gamma 90.00
_symmetry_space_group_name_H-M 'C m c m'
_symmetry_Int_Tables_number 63
_symmetry_space_group_name_Hall '-C 2c 2'
loop_
_atom_site_label
_atom_site_fract_x
_atom_site_fract_y
_atom_site_fract_z
Tl1 0.0000 0.0312 0.2500
Tl2 0.0000 0.1584 0.0512
Tl3 0.0000 0.4554 0.0971
Sb1 0.0000 0.2916 0.2500
Au1 0.0000 0.2146 0.6334
```

The 6 most intense peaks (2θ from 5° to 70°), by intensity:
Position (°2θ), I/Imax, h k l
34.82, 100, 1 1 5
31.66, 73, 1 3 2
31.53, 62, 0 0 6
43.93, 48, 2 0 0
29.83, 46, 1 3 0
36.67, 43, 1 3 4



Entry 5:
This entry pairs a crystal structure of Pa2As2S with its simulated powder X-ray diffraction pattern. Radiation: Cu Ka. Structure: the GGA-PBE geometry in Alexandria.
Kinematic intensities with the Lorentz-polarization factor, no thermal factor.

Atomic structure:
```
data_Pa2As2S
_cell_length_a 4.5337
_cell_length_b 16.9722
_cell_length_c 5.6328
_cell_angle_alpha 90.00
_cell_angle_beta 90.00
_cell_angle_gamma 90.00
_symmetry_space_group_name_H-M 'C m c m'
_symmetry_Int_Tables_number 63
_symmetry_space_group_name_Hall '-C 2c 2'
loop_
_atom_site_label
_atom_site_fract_x
_atom_site_fract_y
_atom_site_fract_z
Pa1 0.0000 0.0774 0.2500
Pa2 0.0000 0.3136 0.2500
As1 0.0000 0.3025 0.7500
As2 0.0000 0.5000 0.0000
S1 0.0000 0.0996 0.7500
```

The 6 most intense peaks (2θ from 5° to 70°), by intensity:
Position (°2θ), I/Imax, h k l
32.96, 100, 1 5 0
26.30, 63, 0 4 1
25.77, 55, 1 1 1
40.96, 47, 1 3 2
46.44, 41, 1 5 2
31.77, 40, 0 0 2



Entry 6:
This entry pairs a crystal structure of Pd7Pt3 with its simulated powder X-ray diffraction pattern. Radiation: Cu Ka. Structure: the GGA-PBE geometry in Alexandria.
Kinematic intensities with the Lorentz-polarization factor, no thermal factor.

Atomic structure:
```
data_Pd7Pt3
_cell_length_a 3.9655
_cell_length_b 3.9539
_cell_length_c 19.6955
_cell_angle_alpha 90.00
_cell_angle_beta 90.00
_cell_angle_gamma 90.00
_symmetry_space_group_name_H-M 'A m m 2'
_symmetry_Int_Tables_number 38
_symmetry_space_group_name_Hall 'A 2 -2'
loop_
_atom_site_label
_atom_site_fract_x
_atom_site_fract_y
_atom_site_fract_z
Pd1 0.0000 0.0000 0.0000
Pd2 0.0000 0.0000 0.1997
Pd3 0.0000 0.0000 0.4002
Pd4 0.0000 0.0000 0.7994
Pd5 0.5000 0.0000 0.1003
Pd6 0.5000 0.0000 0.5000
Pd7 0.5000 0.0000 0.8989
Pt1 0.0000 0.0000 0.5997
Pt2 0.5000 0.0000 0.2998
Pt3 0.5000 0.0000 0.6999
```

The 6 most intense peaks (2θ from 5° to 70°), by intensity:
Position (°2θ), I/Imax, h k l
39.49, 100, 1 1 5
45.76, 17, 2 0 0
45.90, 16, 0 2 0
46.09, 16, 0 0 10
66.83, 11, 2 2 0
66.97, 10, 2 0 10



Entry 7:
This entry pairs a crystal structure of Cs14CdHg with its simulated powder X-ray diffraction pattern. Radiation: Cu Ka. Structure: the GGA-PBE geometry in Alexandria.
Kinematic intensities with the Lorentz-polarization factor, no thermal factor.

Atomic structure:
```
data_Cs14CdHg
_cell_length_a 14.5054
_cell_length_b 13.5468
_cell_length_c 16.0996
_cell_angle_alpha 90.00
_cell_angle_beta 90.00
_cell_angle_gamma 90.00
_symmetry_space_group_name_H-M 'A m m 2'
_symmetry_Int_Tables_number 38
_symmetry_space_group_name_Hall 'A 2 -2'
loop_
_atom_site_label
_atom_site_fract_x
_atom_site_fract_y
_atom_site_fract_z
Cs1 0.0000 0.0000 0.0000
Cs2 0.0000 0.0000 0.4482
Cs3 0.0000 0.2066 0.7273
Cs4 0.2553 0.0000 0.2095
Cs5 0.3094 0.0000 0.8377
Cs6 0.3143 0.1880 0.5049
Cs7 0.5000 0.2155 0.2399
Cd1 0.5000 0.0000 0.0413
Hg1 0.5000 0.0000 0.3997
```

The 6 most intense peaks (2θ from 5° to 70°), by intensity:
Position (°2θ), I/Imax, h k l
21.07, 100, 2 2 2
21.62, 41, 2 1 3
6.09, 23, 1 0 0
34.18, 19, 0 3 5
26.50, 16, 1 3 3
25.70, 16, 0 2 4



Entry 8:
This entry pairs a crystal structure of Dy6OsO12 with its simulated powder X-ray diffraction pattern. Radiation: Cu Ka. Structure: the GGA-PBE geometry in Alexandria.
Kinematic intensities with the Lorentz-polarization factor, no thermal factor.

Atomic structure:
```
data_Dy6OsO12
_cell_length_a 9.8274
_cell_length_b 9.8274
_cell_length_c 9.3805
_cell_angle_alpha 90.00
_cell_angle_beta 90.00
_cell_angle_gamma 120.00
_symmetry_space_group_name_H-M 'R -3'
_symmetry_Int_Tables_number 148
_symmetry_space_group_name_Hall '-R 3'
loop_
_atom_site_label
_atom_site_fract_x
_atom_site_fract_y
_atom_site_fract_z
Dy1 0.0420 0.7876 0.1435
Os1 0.0000 0.0000 0.5000
O1 0.0329 0.8097 0.9007
O2 0.0378 0.8528 0.3886
```

The 6 most intense peaks (2θ from 5° to 70°), by intensity:
Position (°2θ), I/Imax, h k l
29.35, 100, 3 -1 1
33.79, 46, 1 2 2
28.55, 31, 0 0 3
49.05, 27, 4 1 0
48.01, 26, 3 -1 4
57.74, 24, 5 -4 3



Entry 9:
This entry pairs a crystal structure of Ac2Sb3Pd5 with its simulated powder X-ray diffraction pattern. Radiation: Cu Ka. Structure: the GGA-PBE geometry in Alexandria.
Kinematic intensities with the Lorentz-polarization factor, no thermal factor.

Atomic structure:
```
data_Ac2Sb3Pd5
_cell_length_a 11.1675
_cell_length_b 12.4588
_cell_length_c 6.6733
_cell_angle_alpha 90.00
_cell_angle_beta 90.00
_cell_angle_gamma 90.00
_symmetry_space_group_name_H-M 'I b a m'
_symmetry_Int_Tables_number 72
_symmetry_space_group_name_Hall '-I 2 2c'
loop_
_atom_site_label
_atom_site_fract_x
_atom_site_fract_y
_atom_site_fract_z
Ac1 0.2275 0.1283 0.0000
Sb1 0.0000 0.5000 0.2500
Sb2 0.1162 0.1354 0.5000
Pd1 0.0000 0.0000 0.2500
Pd2 0.0000 0.2668 0.2500
Pd3 0.1510 0.3922 0.0000
```

The 6 most intense peaks (2θ from 5° to 70°), by intensity:
Position (°2θ), I/Imax, h k l
39.58, 100, 0 4 2
31.03, 99, 3 2 1
31.23, 94, 2 0 2
32.93, 77, 2 4 0
45.22, 36, 5 2 1
49.96, 27, 3 2 3



Entry 10:
This entry pairs a crystal structure of LaNd5Sm with its simulated powder X-ray diffraction pattern. Radiation: Cu Ka. Structure: the GGA-PBE geometry in Alexandria.
Kinematic intensities with the Lorentz-polarization factor, no thermal factor.

Atomic structure:
```
data_LaNd5Sm
_cell_length_a 9.6243
_cell_length_b 3.7275
_cell_length_c 14.3926
_cell_angle_alpha 90.00
_cell_angle_beta 104.70
_cell_angle_gamma 90.00
_symmetry_space_group_name_H-M 'P 1 21/m 1'
_symmetry_Int_Tables_number 11
_symmetry_space_group_name_Hall '-P 2yb'
loop_
_atom_site_label
_atom_site_fract_x
_atom_site_fract_y
_atom_site_fract_z
La1 0.0989 0.2500 0.1166
Nd1 0.0039 0.7500 0.3797
Nd2 0.1998 0.2500 0.8778
Nd3 0.3301 0.2500 0.5080
Nd4 0.3506 0.7500 0.7220
Nd5 0.4102 0.7500 0.0767
Sm1 0.3363 0.7500 0.3025
```

The 6 most intense peaks (2θ from 5° to 70°), by intensity:
Position (°2θ), I/Imax, h k l
30.74, 100, 1 1 -3
29.90, 59, 1 1 2
30.34, 46, 3 0 -3
31.39, 35, 2 1 -2
31.08, 33, 3 0 1
29.60, 27, 1 0 4



Entry 11:
This entry pairs a crystal structure of Tl2InGaS4 with its simulated powder X-ray diffraction pattern. Radiation: Cu Ka. Structure: the GGA-PBE geometry in Alexandria.
Kinematic intensities with the Lorentz-polarization factor, no thermal factor.

Atomic structure:
```
data_Tl2InGaS4
_cell_length_a 7.7698
_cell_length_b 9.4973
_cell_length_c 6.4960
_cell_angle_alpha 90.00
_cell_angle_beta 90.00
_cell_angle_gamma 90.00
_symmetry_space_group_name_H-M 'P m n 21'
_symmetry_Int_Tables_number 31
_symmetry_space_group_name_Hall 'P 2ac -2'
loop_
_atom_site_label
_atom_site_fract_x
_atom_site_fract_y
_atom_site_fract_z
Tl1 0.2378 0.1618 0.0000
In1 0.0000 0.3857 0.4562
Ga1 0.0000 0.6318 0.9558
S1 0.0000 0.4037 0.0702
S2 0.0000 0.6275 0.5983
S3 0.2410 0.7611 0.0439
```

The 6 most intense peaks (2θ from 5° to 70°), by intensity:
Position (°2θ), I/Imax, h k l
23.20, 100, 0 2 1
28.37, 71, 2 1 1
27.46, 61, 0 0 2
24.76, 61, 2 1 0
36.62, 43, 2 3 0
46.37, 38, 2 3 2



Entry 12:
This entry pairs a crystal structure of AlCdSb with its simulated powder X-ray diffraction pattern. Radiation: Cu Ka. Structure: the GGA-PBE geometry in Alexandria.
Kinematic intensities with the Lorentz-polarization factor, no thermal factor.

Atomic structure:
```
data_AlCdSb
_cell_length_a 4.8970
_cell_length_b 4.2200
_cell_length_c 7.8261
_cell_angle_alpha 90.00
_cell_angle_beta 107.91
_cell_angle_gamma 90.00
_symmetry_space_group_name_H-M 'P 1 21/m 1'
_symmetry_Int_Tables_number 11
_symmetry_space_group_name_Hall '-P 2yb'
loop_
_atom_site_label
_atom_site_fract_x
_atom_site_fract_y
_atom_site_fract_z
Al1 0.2411 0.2500 0.4772
Cd1 0.0819 0.7500 0.1432
Sb1 0.3587 0.7500 0.7265
```

The 6 most intense peaks (2θ from 5° to 70°), by intensity:
Position (°2θ), I/Imax, h k l
33.39, 100, 1 1 -2
33.28, 99, 1 1 1
28.56, 95, 1 1 0
32.06, 64, 0 1 2
36.70, 63, 2 0 -1
42.86, 41, 0 2 0



> What is the formula in the third record?

Cs4K3Pd